Record 1
Structure and computed powder XRD pattern of Fe2I5Br (a structure optimized by DFT (PBE); λ = 1.5418 Å (Cu Kα)).
Kinematic intensities with the Lorentz-polarization factor, no thermal factor.

Atomic structure:
Lattice parameters (Å, degrees): 7.7424 7.7811 7.8446 102.16 102.52 119.56
Fractional positions:
Fe1 0.0000 0.0000 0.0000
Fe2 0.5003 0.5005 0.5003
I1 0.0536 0.7431 0.1046
I2 0.3782 0.3766 0.1254
I3 0.5550 0.2433 0.6030
I4 0.7382 0.0487 0.0998
I5 0.8783 0.8746 0.6245
Br1 0.2587 0.5452 0.5932

Peak list (10 most intense, 15° ≤ 2θ ≤ 90°, most intense first)
two_theta, d_spacing, intensity
24.03, 3.703, 100.0
25.08, 3.551, 53.4
25.18, 3.537, 53.0
40.07, 2.250, 33.9
40.34, 2.236, 32.8
26.99, 3.304, 27.0
29.30, 3.048, 22.2
29.05, 3.073, 22.0
40.16, 2.245, 17.1
43.08, 2.100, 15.5

Record 2
Structure and computed powder XRD pattern of Fe3IBr7 (a structure optimized by DFT (PBE); λ = 1.5418 Å (Cu Kα)).
Kinematic intensities with the Lorentz-polarization factor, no thermal factor.

Atomic structure:
Lattice parameters (Å, degrees): 7.5361 7.5361 6.9414 90.00 90.00 120.00
Fractional positions:
Fe1 0.0039 0.5020 0.0000
Fe2 0.4980 0.5020 0.0000
Fe3 0.4980 0.9961 0.0000
I1 0.6667 0.3333 0.7413
Br1 0.1740 0.3479 0.7935
Br2 0.1740 0.8260 0.7935
Br3 0.3333 0.6667 0.2272
Br4 0.3485 0.1742 0.2033
Br5 0.6521 0.8260 0.7935
Br6 0.8258 0.1742 0.2033
Br7 0.8258 0.6515 0.2033

Peak list (10 most intense, 15° ≤ 2θ ≤ 90°, most intense first)
two_theta, d_spacing, intensity
30.26, 2.953, 100.0
48.26, 1.886, 53.1
37.84, 2.377, 44.7
58.07, 1.588, 14.5
25.67, 3.471, 14.1
78.82, 1.214, 11.5
55.50, 1.656, 9.4
62.95, 1.477, 9.2
83.11, 1.162, 8.2
74.30, 1.277, 7.9

Record 3
Structure and computed powder XRD pattern of Fe2I4Br (a structure optimized by DFT (PBE); λ = 1.5418 Å (Cu Kα)).
Kinematic intensities with the Lorentz-polarization factor, no thermal factor.

Atomic structure:
Lattice parameters (Å, degrees): 9.9397 8.0850 11.4075 58.38 43.84 77.77
Fractional positions:
Fe1 0.3097 0.6903 0.5386
Fe2 0.6903 0.3097 0.4614
Fe3 0.7114 0.7886 0.9403
Fe4 0.7886 0.7114 0.5597
I1 0.1024 0.9680 0.6091
I2 0.1032 0.5719 0.5030
I3 0.4281 0.7470 0.6781
I4 0.5719 0.1032 0.8219
I5 0.6409 0.9295 0.1476
I6 0.7470 0.4281 0.1468
I7 0.9295 0.6409 0.2820
I8 0.9680 0.1024 0.3205
Br1 0.3322 0.3322 0.6678
Br2 0.5822 0.5822 0.9178

Peak list (10 most intense, 15° ≤ 2θ ≤ 90°, most intense first)
two_theta, d_spacing, intensity
25.10, 3.548, 100.0
27.68, 3.223, 76.2
33.24, 2.695, 54.8
27.49, 3.245, 40.7
46.02, 1.972, 31.4
41.77, 2.163, 30.6
26.55, 3.357, 24.1
37.23, 2.415, 16.0
43.90, 2.063, 15.0
52.26, 1.750, 14.0

Record 4
Structure and computed powder XRD pattern of Fe3IBr9 (a structure optimized by DFT (PBE); λ = 1.5418 Å (Cu Kα)).
Kinematic intensities with the Lorentz-polarization factor, no thermal factor.

Atomic structure:
Lattice parameters (Å, degrees): 10.5266 10.5266 11.6736 90.00 90.00 102.50
Fractional positions:
Fe1 0.1746 0.8254 0.7500
Fe2 0.2049 0.2394 0.3508
Fe3 0.2394 0.2049 0.6492
Fe4 0.7606 0.7951 0.1492
Fe5 0.7951 0.7606 0.8508
Fe6 0.8254 0.1746 0.2500
I1 0.3938 0.6062 0.2500
I2 0.6062 0.3938 0.7500
Br1 0.0541 0.2237 0.1851
Br2 0.0936 0.0936 0.5000
Br3 0.1692 0.3812 0.7189
Br4 0.1945 0.7011 0.9078
Br5 0.2237 0.0541 0.8149
Br6 0.2436 0.4624 0.4166
Br7 0.2989 0.8055 0.5922
Br8 0.3812 0.1692 0.2811
Br9 0.4624 0.2436 0.5834
Br10 0.5376 0.7564 0.0834
Br11 0.6188 0.8308 0.7811
Br12 0.7011 0.1945 0.0922
Br13 0.7564 0.5376 0.9166
Br14 0.7763 0.9459 0.3149
Br15 0.8055 0.2989 0.4078
Br16 0.8308 0.6188 0.2189
Br17 0.9064 0.9064 0.0000
Br18 0.9459 0.7763 0.6851

Peak list (10 most intense, 15° ≤ 2θ ≤ 90°, most intense first)
two_theta, d_spacing, intensity
18.87, 4.703, 100.0
31.18, 2.868, 93.8
26.70, 3.338, 76.9
17.26, 5.139, 68.1
28.78, 3.102, 66.7
27.13, 3.287, 62.0
26.56, 3.356, 54.9
23.05, 3.859, 47.9
46.87, 1.938, 45.2
25.97, 3.431, 44.4

Record 5
Structure and computed powder XRD pattern of LiFe2I6Br2 (a structure optimized by DFT (PBE); λ = 1.5418 Å (Cu Kα)).
Kinematic intensities with the Lorentz-polarization factor, no thermal factor.

Atomic structure:
Lattice parameters (Å, degrees): 7.1325 7.1325 10.4615 90.00 90.00 120.00
Fractional positions:
Li1 0.0000 0.0000 0.0000
Fe1 0.3333 0.6667 0.7418
Fe2 0.6667 0.3333 0.2582
I1 0.0025 0.3336 0.1750
I2 0.3311 0.9975 0.1750
I3 0.3336 0.3311 0.8250
I4 0.6664 0.6689 0.1750
I5 0.6689 0.0025 0.8250
I6 0.9975 0.6664 0.8250
Br1 0.3333 0.6667 0.5229
Br2 0.6667 0.3333 0.4771

Peak list (10 most intense, 15° ≤ 2θ ≤ 90°, most intense first)
two_theta, d_spacing, intensity
26.40, 3.376, 100.0
30.33, 2.947, 54.0
42.88, 2.109, 31.1
25.54, 3.487, 30.5
43.98, 2.059, 29.7
51.55, 1.773, 25.9
16.95, 5.231, 17.1
16.67, 5.319, 15.4
52.03, 1.758, 14.9
50.58, 1.805, 13.9

Record 6
Structure and computed powder XRD pattern of MgFe2I6Br2 (a structure optimized by DFT (PBE); λ = 1.5418 Å (Cu Kα)).
Kinematic intensities with the Lorentz-polarization factor, no thermal factor.

Atomic structure:
Lattice parameters (Å, degrees): 7.3105 7.3105 10.3448 90.00 90.00 120.00
Fractional positions:
Mg1 0.0000 0.0000 0.0000
Fe1 0.3333 0.6667 0.7523
Fe2 0.6667 0.3333 0.2477
I1 0.0008 0.6746 0.8306
I2 0.3254 0.3262 0.8306
I3 0.3262 0.0008 0.1694
I4 0.6738 0.9992 0.8306
I5 0.6746 0.6738 0.1694
I6 0.9992 0.3254 0.1694
Br1 0.3333 0.6667 0.5307
Br2 0.6667 0.3333 0.4693

Peak list (10 most intense, 15° ≤ 2θ ≤ 90°, most intense first)
two_theta, d_spacing, intensity
25.85, 3.447, 100.0
42.84, 2.111, 49.7
29.93, 2.985, 46.2
50.72, 1.800, 42.5
68.51, 1.370, 17.7
16.42, 5.400, 17.2
78.49, 1.219, 15.0
70.55, 1.335, 13.0
84.28, 1.149, 12.4
53.14, 1.723, 11.1

Record 7
Structure and computed powder XRD pattern of NaFe2I6Br2 (a structure optimized by DFT (PBE); λ = 1.5418 Å (Cu Kα)).
Kinematic intensities with the Lorentz-polarization factor, no thermal factor.

Atomic structure:
Lattice parameters (Å, degrees): 7.2342 7.2342 11.0356 90.00 90.00 120.00
Fractional positions:
Na1 0.0000 0.0000 0.0000
Fe1 0.3333 0.6667 0.7334
Fe2 0.6667 0.3333 0.2666
I1 0.0054 0.3510 0.1873
I2 0.3456 0.9946 0.1873
I3 0.3510 0.3456 0.8127
I4 0.6490 0.6544 0.1873
I5 0.6544 0.0054 0.8127
I6 0.9946 0.6490 0.8127
Br1 0.3333 0.6667 0.5257
Br2 0.6667 0.3333 0.4743

Peak list (10 most intense, 15° ≤ 2θ ≤ 90°, most intense first)
two_theta, d_spacing, intensity
25.92, 3.437, 100.0
29.53, 3.025, 51.1
41.15, 2.194, 31.6
43.33, 2.088, 30.0
24.19, 3.679, 27.4
16.06, 5.518, 26.0
50.24, 1.816, 20.9
16.27, 5.448, 15.8
51.18, 1.785, 14.3
34.78, 2.579, 13.3

Record 8
Structure and computed powder XRD pattern of RbFe2I6Br2 (a structure optimized by DFT (PBE); λ = 1.5418 Å (Cu Kα)).
Kinematic intensities with the Lorentz-polarization factor, no thermal factor.

Atomic structure:
Lattice parameters (Å, degrees): 7.6952 7.6952 11.3660 90.00 90.00 120.00
Fractional positions:
Rb1 0.0000 0.0000 0.0000
Fe1 0.3333 0.6667 0.7250
Fe2 0.6667 0.3333 0.2750
I1 0.0065 0.4136 0.1935
I2 0.4071 0.9935 0.1935
I3 0.4136 0.4071 0.8065
I4 0.5864 0.5929 0.1935
I5 0.5929 0.0065 0.8065
I6 0.9935 0.5864 0.8065
Br1 0.3333 0.6667 0.5233
Br2 0.6667 0.3333 0.4767

Peak list (10 most intense, 15° ≤ 2θ ≤ 90°, most intense first)
two_theta, d_spacing, intensity
24.42, 3.644, 100.0
28.01, 3.186, 66.3
36.54, 2.459, 40.0
27.90, 3.198, 37.1
50.00, 1.824, 37.1
15.59, 5.683, 36.6
39.42, 2.286, 33.9
23.48, 3.789, 31.9
15.41, 5.749, 29.3
20.54, 4.324, 27.4

Record 9
Structure and computed powder XRD pattern of InFe2Br (a structure optimized by DFT (PBE); λ = 1.5418 Å (Cu Kα)).
Kinematic intensities with the Lorentz-polarization factor, no thermal factor.

Atomic structure:
Lattice parameters (Å, degrees): 3.1615 3.9308 6.5013 90.00 90.00 90.00
Fractional positions:
In1 0.0000 0.0000 0.0000
Fe1 0.5000 0.5000 0.1790
Fe2 0.5000 0.5000 0.8210
Br1 0.0000 0.5000 0.5000

Peak list (10 most intense, 15° ≤ 2θ ≤ 90°, most intense first)
two_theta, d_spacing, intensity
39.10, 2.304, 100.0
39.77, 2.266, 56.8
26.50, 3.364, 49.7
47.93, 1.898, 42.8
62.56, 1.485, 28.2
46.19, 1.965, 25.9
36.47, 2.464, 23.0
78.79, 1.215, 19.6
27.44, 3.251, 16.1
84.20, 1.150, 13.8

Record 10
Structure and computed powder XRD pattern of InFeBr2 (a structure optimized by DFT (PBE); λ = 1.5418 Å (Cu Kα)).
Kinematic intensities with the Lorentz-polarization factor, no thermal factor.

Atomic structure:
Lattice parameters (Å, degrees): 4.4399 3.6002 7.7104 90.00 106.60 90.00
Fractional positions:
In1 0.0000 0.0000 0.0000
Fe1 0.5347 0.5000 0.0696
Br1 0.3729 0.5000 0.7462
Br2 0.6549 0.0000 0.3132

Peak list (10 most intense, 15° ≤ 2θ ≤ 90°, most intense first)
two_theta, d_spacing, intensity
32.59, 2.748, 100.0
27.04, 3.298, 75.5
44.59, 2.032, 61.4
36.96, 2.432, 52.0
36.49, 2.462, 35.3
40.64, 2.220, 32.4
27.56, 3.236, 30.4
34.79, 2.578, 19.5
58.41, 1.580, 16.9
50.72, 1.800, 16.7

Q: Number 7 is which compound?
A: NaFe2I6Br2